Diffraction record for Mg5CdPt. The powder X-ray diffraction pattern is theoretical, not measured: it uses a GGA-PBE-relaxed structure and Cu Ka.
Peak positions follow from Bragg's law for the DFT cell and can differ from measured ones.

Structural model:
abc: 4.5732 4.5732 14.0581
angles: 90.11 90.11 89.91
Atoms (fractional coordinates):
Mg 0.0002 0.9998 0.2500
Mg 0.9998 0.0002 0.7500
Mg 0.0003 0.4998 0.1029
Mg 0.9997 0.5002 0.8971
Mg 0.0010 0.4997 0.3971
Mg 0.5002 0.9997 0.3971
Mg 0.4998 0.0003 0.6029
Mg 0.4997 0.0010 0.8971
Mg 0.5003 0.9990 0.1029
Mg 0.9990 0.5003 0.6029
Cd 0.4994 0.5006 0.7500
Cd 0.5006 0.4994 0.2500
Pt 0.0000 0.0000 0.0000
Pt 0.0000 0.0000 0.5000

Peak list (10 most intense, 10° ≤ 2θ ≤ 90°, low angle first)
2θ = 23.2°, d 3.833, intensity 100; 2θ = 25.3°, d 3.515, intensity 15; 2θ = 27.6°, d 3.234, intensity 22; 2θ = 37.8°, d 2.380, intensity 48; 2θ = 37.8°, d 2.377, intensity 16; 2θ = 39.4°, d 2.287, intensity 31; 2θ = 43.4°, d 2.085, intensity 19; 2θ = 46.2°, d 1.964, intensity 24; 2θ = 47.4°, d 1.917, intensity 11; 2θ = 60.1°, d 1.540, intensity 11